Diffraction record for RbSrTbF6. The XRD peak list is simulated, not measured: it uses the GGA-PBE geometry in Alexandria and λ = 1.5418 Å (Cu Kα).
Intensities are scaled so that the largest is 100.

Largest 10 diffraction maxima, sorted by position, 2θ from 10° to 80°:
2θ (°)  I (rel.)
13.55  63
22.13  16
25.92  100
26.06  72
27.07  48
27.30  46
41.44  37
44.82  18
45.14  64
62.74  24

Atomic structure:
```
data_RbSrTbF6
_chemical_formula_sum 'Rb4 Sr4 Tb4 F24'
_symmetry_space_group_name_H-M 'I m m a'
_symmetry_Int_Tables_number 74
_symmetry_space_group_name_Hall '-I 2b 2'
_cell_length_a 7.9844
_cell_length_b 8.0879
_cell_length_c 11.3621
_cell_angle_alpha 90.00
_cell_angle_beta 90.00
_cell_angle_gamma 90.00
loop_
_atom_site_label
_atom_site_type_symbol
_atom_site_fract_x
_atom_site_fract_y
_atom_site_fract_z
_atom_site_occupancy
Rb1 Rb 0.0000 0.2500 0.1405 1
Sr1 Sr 0.2500 0.2500 0.7500 1
Tb1 Tb 0.0000 0.0000 0.5000 1
F1 F 0.0000 0.2500 0.5812 1
F2 F 0.0000 0.2500 0.8638 1
F3 F 0.1939 0.0267 0.3669 1
```